Simulated powder X-ray diffraction pattern
Compound: MgGe5
Radiation: Cu Kα X-rays
Structure: a DFT-relaxed cell (GGA-PBE, the Materials Project)
Neutral-atom scattering factors, no anomalous dispersion.

```
6
Lattice="5.2641 0.0000 0.0000 -2.6321 4.5589 0.0000 0.0000 0.0000 4.8567" Properties=species:S:1:pos:R:3 pbc="T T T"
Mg 0.0000 0.0000 0.0000
Ge -1.7631 3.0538 2.4283
Ge 0.8690 1.5051 2.4283
Ge 0.0000 3.0393 0.0000
Ge 2.6321 1.5196 0.0000
Ge 3.5262 0.0000 2.4283
```

Largest 8 diffraction maxima, in order of falling intensity, 2θ from 10° to 90°:
2theta, Rel. int.
38.9, 100.0
37.0, 25.5
34.1, 25.1
73.5, 19.6
68.0, 18.6
61.0, 17.2
51.2, 15.5
74.7, 14.1

Simulated powder X-ray diffraction pattern
Compound: LiMgH3
Radiation: Cu Kα X-rays
Structure: a DFT-relaxed cell (GGA-PBE, the Materials Project)
Neutral-atom scattering factors, no anomalous dispersion.

```
10
Lattice="2.4793 1.4314 4.4377 -2.4793 1.4314 4.4377 0.0000 -2.8628 4.4377" Properties=species:S:1:pos:R:3 pbc="T T T"
Li 0.0000 0.0000 0.0000
Li 0.0000 0.0000 6.6566
Mg 0.0000 0.0000 3.8575
Mg 0.0000 0.0000 10.5141
H -0.7709 -1.2698 5.2149
H -1.7651 -0.1289 7.4338
H -0.7142 1.3025 5.2149
H 0.9941 -1.4641 7.4338
H 1.4851 -0.0327 5.2149
H 0.7709 1.5930 7.4338
```

Largest 8 diffraction maxima, in order of falling intensity, 2θ from 10° to 90°:
2theta, Rel. int.
24.7, 100.0
34.1, 71.1
36.2, 62.3
55.6, 30.1
50.6, 24.2
63.8, 22.6
44.3, 18.2
58.5, 15.7

Simulated powder X-ray diffraction pattern
Compound: As2O3
Radiation: Cu Kα X-rays
Structure: a DFT-relaxed cell (GGA-PBE, the Materials Project)
Neutral-atom scattering factors, no anomalous dispersion.

```
20
Lattice="7.4965 0.0000 0.0000 0.0000 13.1521 0.0000 0.0000 0.0000 5.2695" Properties=species:S:1:pos:R:3 pbc="T T T"
As 0.8427 1.5203 0.0000
As 0.8427 11.6318 2.6348
As 2.8999 5.0525 4.9105
As 2.8999 8.0996 2.2757
As 4.5966 5.0525 2.2757
As 4.5966 8.0996 4.9105
As 6.6538 1.5203 2.6348
As 6.6538 11.6318 0.0000
O 0.0000 0.0000 2.0181
O 0.0000 0.0000 4.6529
O 0.4761 2.3113 3.6617
O 0.4761 10.8408 1.0269
O 3.3214 4.2374 1.2166
O 3.3214 8.9147 3.8514
O 3.7482 6.5761 0.2497
O 3.7482 6.5761 2.8845
O 4.1751 4.2374 3.8514
O 4.1751 8.9147 1.2166
O 7.0204 2.3113 1.0269
O 7.0204 10.8408 3.6617
```

Largest 8 diffraction maxima, in order of falling intensity, 2θ from 10° to 90°:
2theta, Rel. int.
13.6, 100.0
32.3, 35.3
21.7, 18.8
29.0, 14.3
27.1, 13.3
23.5, 12.7
51.3, 8.8
36.8, 7.7

Simulated powder X-ray diffraction pattern
Compound: K2Li2CuI2O2
Radiation: Cu Kα X-rays
Structure: a DFT-relaxed cell (GGA-PBE, the Materials Project)
Neutral-atom scattering factors, no anomalous dispersion.

```
9
Lattice="-2.0787 2.0787 11.7463 2.0787 -2.0787 11.7463 2.0787 2.0787 -11.7463" Properties=species:S:1:pos:R:3 pbc="T T T"
K 0.0000 0.0000 1.5641
K 0.0000 0.0000 21.9284
Li 2.0787 0.0000 5.8731
Li 0.0000 2.0787 5.8731
Cu 0.0000 0.0000 11.7463
I 0.0000 0.0000 7.6120
I 0.0000 0.0000 15.8805
O 2.0787 0.0000 0.0000
O 0.0000 2.0787 0.0000
```

Largest 8 diffraction maxima, in order of falling intensity, 2θ from 10° to 90°:
2theta, Rel. int.
28.7, 100.0
24.2, 73.7
30.4, 71.3
43.5, 59.8
22.7, 35.9
53.0, 34.0
47.9, 26.2
38.3, 25.7

Simulated powder X-ray diffraction pattern
Compound: YMg6Al
Radiation: Cu Kα X-rays
Structure: a DFT-relaxed cell (GGA-PBE, the Materials Project)
Neutral-atom scattering factors, no anomalous dispersion.

```
16
Lattice="5.0929 0.0000 0.0000 0.0000 6.2235 0.0000 0.0000 0.0000 11.7738" Properties=species:S:1:pos:R:3 pbc="T T T"
Y 0.0000 0.0000 0.0000
Y 0.0000 3.1117 5.8869
Mg 0.0000 1.5428 8.7939
Mg 0.0000 1.5689 2.9070
Mg 0.0000 4.6545 2.9070
Mg 0.0000 4.6807 8.7939
Mg 2.5465 0.0000 1.8931
Mg 2.5465 0.0000 7.5089
Mg 2.5465 1.5433 4.6922
Mg 2.5465 1.5685 10.5791
Mg 2.5465 3.1117 1.6220
Mg 2.5465 3.1117 7.7800
Mg 2.5465 4.6550 10.5791
Mg 2.5465 4.6802 4.6922
Al 0.0000 0.0000 5.6714
Al 0.0000 3.1117 11.5583
```

Largest 8 diffraction maxima, in order of falling intensity, 2θ from 10° to 90°:
2theta, Rel. int.
35.2, 100.0
37.1, 86.5
32.5, 33.5
71.0, 25.5
23.8, 24.9
16.1, 24.8
48.7, 20.8
67.3, 17.9

Simulated powder X-ray diffraction pattern
Compound: Mg14CdGa
Radiation: Cu Kα X-rays
Structure: a DFT-relaxed cell (GGA-PBE, the Materials Project)
Neutral-atom scattering factors, no anomalous dispersion.

```
16
Lattice="10.3765 0.0000 0.0000 0.0000 3.1790 5.4322 0.0000 -3.1790 5.4322" Properties=species:S:1:pos:R:3 pbc="T T T"
Mg 0.0000 0.0000 10.8616
Mg 0.0000 -1.5906 2.7205
Mg 0.0000 0.0000 5.4322
Mg 0.0000 1.5906 2.7205
Mg 2.5910 0.0000 1.8072
Mg 2.5989 0.0000 7.2316
Mg 2.6120 -1.5832 4.5385
Mg 2.6120 1.5832 4.5385
Mg 5.1882 1.5870 8.1476
Mg 5.1882 -1.5870 8.1476
Mg 7.7645 -1.5832 4.5385
Mg 7.7645 1.5832 4.5385
Mg 7.7855 0.0000 1.8072
Mg 7.7776 0.0000 7.2316
Cd 5.1882 0.0000 0.0011
Ga 5.1882 0.0000 5.4387
```

Largest 8 diffraction maxima, in order of falling intensity, 2θ from 10° to 90°:
2theta, Rel. int.
37.1, 100.0
37.4, 48.8
34.6, 39.7
32.6, 27.6
18.4, 23.3
63.6, 22.4
69.9, 19.2
33.0, 19.0